For Pm2TmMoO6, a crystal structure in Alexandria, relaxed with GGA+U gives the theoretical PXRD pattern in this record (Cu Kα (λ = 1.5418 Å)).
Kinematic intensities with the Lorentz-polarization factor, no thermal factor.

Atomic structure:
a = 5.6800 Å, b = 5.9618 Å, c = 9.9663 Å
α = 90.00°, β = 124.20°, γ = 90.00°
Space group P2_1/c (No. 14)
One atom of each set of equivalent atoms:
Pm 0.2293 0.0589 0.2490 [4 per cell]
Tm 0.5000 0.0000 0.0000 [2 per cell]
Mo 0.0000 0.0000 0.5000 [2 per cell]
O 0.1210 0.1961 0.9332 [4 per cell]
O 0.2359 0.6944 0.9307 [4 per cell]
O 0.3770 0.0592 0.7462 [4 per cell]

Principal peaks in the range 10° ≤ 2θ ≤ 80°, low angle first:
d (Å)	I_rel	hkl
2.981	42.1	0 2 0
2.921	100.0	1 1 1
2.901	98.9	1 1 -3
2.840	44.2	2 0 -2
2.061	24.1	0 0 4
2.056	36.8	2 2 -2
1.829	15.9	1 3 -2
1.709	12.5	1 3 1
1.705	12.6	1 3 -3
1.695	20.0	0 2 4
1.659	32.6	2 0 -6
1.647	21.6	3 1 -5